Record 1
# Ho2Sc2CF5
Calculated XRD peak list, Cu Kα, 1.54184 Å. Input: a structure optimized by DFT (PBE).
Lines closer than 0.1° are merged.

Cell and atoms:
```
data_Ho2Sc2CF5
_chemical_formula_sum 'Ho4 Sc4 C2 F10'
_symmetry_space_group_name_H-M 'C 1 2/m 1'
_symmetry_Int_Tables_number 12
_cell_length_a 14.067
_cell_length_b 3.319
_cell_length_c 6.834
_cell_angle_alpha 90.00
_cell_angle_beta 106.79
_cell_angle_gamma 90.00
loop_
_symmetry_equiv_pos_as_xyz
'x,y,z'
'-x,-y,-z'
'-x,y,-z'
'x,-y,z'
'x+1/2,y+1/2,z'
'-x+1/2,-y+1/2,-z'
'-x+1/2,y+1/2,-z'
'x+1/2,-y+1/2,z'
loop_
_atom_site_label
_atom_site_fract_x
_atom_site_fract_y
_atom_site_fract_z
Ho1 0.000 0.000 0.239
Sc1 0.160 0.500 0.105
C1 0.000 0.500 0.000
F1 0.000 0.500 0.500
F2 0.177 0.000 0.316
F3 0.178 0.000 0.890
```

Top 6 peaks for 2θ from 10° to 80°, sorted by position:
- 2θ = 13.15°, 6.734 Å, I 1000, (2 0 0)
- 2θ = 27.68°, 3.222 Å, I 391, (1 1 0)
- 2θ = 33.58°, 2.669 Å, I 281, (3 1 0)
- 2θ = 37.81°, 2.379 Å, I 559, (1 1 -2)
- 2θ = 40.18°, 2.245 Å, I 241, (6 0 0)
- 2θ = 55.34°, 1.660 Å, I 259, (0 2 0)


Record 2
# Hf2TaBi
Calculated XRD peak list, Cu Kα, 1.54184 Å. Input: a structure optimized by DFT (PBE).
Lines closer than 0.1° are merged.

Cell and atoms:
```
data_Hf2TaBi
_chemical_formula_sum 'Hf8 Ta4 Bi4'
_symmetry_space_group_name_H-M 'F -4 3 m'
_symmetry_Int_Tables_number 216
_symmetry_space_group_name_Hall 'F -4 2 3'
_cell_length_a 6.986
_cell_length_b 6.986
_cell_length_c 6.986
_cell_angle_alpha 90.00
_cell_angle_beta 90.00
_cell_angle_gamma 90.00
loop_
_atom_site_label
_atom_site_fract_x
_atom_site_fract_y
_atom_site_fract_z
Hf1 0.000 0.000 0.000
Hf2 0.250 0.250 0.250
Ta1 0.250 0.250 0.750
Bi1 0.000 0.000 0.500
```

Top 4 peaks for 2θ from 10° to 80°, sorted by position:
- 2θ = 36.37°, 2.470 Å, I 1000, (2 2 0)
- 2θ = 52.39°, 1.747 Å, I 179, (4 0 0)
- 2θ = 65.45°, 1.426 Å, I 369, (4 2 2)
- 2θ = 77.25°, 1.235 Å, I 116, (4 4 0)